Diffraction record for TaW2O8. The XRD peak list is simulated, not measured: it uses a crystal structure in Alexandria, relaxed with PBE+U and a wavelength of 1.5418 Å.
Kinematic intensities with the Lorentz-polarization factor, no thermal factor.

Atomic structure:
Cell: 5.196 5.868 10.675 Å, 90.00 118.25 90.00°
Element x y z (fractional)
Ta 0.000 0.103 0.250
Ta 0.000 0.897 0.750
W 0.251 0.357 0.013
W 0.251 0.643 0.513
W 0.749 0.357 0.487
W 0.749 0.643 0.987
O 0.169 0.393 0.609
O 0.169 0.607 0.109
O 0.210 0.153 0.141
O 0.210 0.847 0.641
O 0.244 0.117 0.883
O 0.244 0.883 0.383
O 0.317 0.375 0.392
O 0.317 0.625 0.892
O 0.683 0.375 0.108
O 0.683 0.625 0.608
O 0.756 0.117 0.617
O 0.756 0.883 0.117
O 0.790 0.153 0.359
O 0.790 0.847 0.859
O 0.831 0.393 0.891
O 0.831 0.607 0.391

Largest 8 diffraction maxima, by angle, 15° ≤ 2θ ≤ 90°:
2θ 17.82, 4.978 Å, I = 28; 2θ 22.86, 3.890 Å, I = 28; 2θ 24.26, 3.669 Å, I = 100; 2θ 29.64, 3.014 Å, I = 63; 2θ 29.98, 2.981 Å, I = 60; 2θ 34.53, 2.598 Å, I = 32; 2θ 35.13, 2.555 Å, I = 57; 2θ 53.14, 1.724 Å, I = 27